Computed powder diffraction line list
Compound: Ac2TlPt3
Radiation: CuKα
Structure: DFT lattice parameters and positions (PBE)
Neutral-atom scattering factors, no anomalous dispersion.

Cell and atoms:
```
data_Ac2TlPt3
_chemical_formula_sum 'Ac4 Tl2 Pt6'
_cell_length_a 9.2974
_cell_length_b 8.9443
_cell_length_c 6.3463
_cell_angle_alpha 72.66
_cell_angle_beta 66.68
_cell_angle_gamma 40.66
_space_group_name_H-M_alt 'P 1'
_space_group_IT_number 1
_space_group_name_Hall 'P 1'
loop_
_atom_site_label
_atom_site_fract_x
_atom_site_fract_y
_atom_site_fract_z
_atom_site_occupancy
Ac1 0.2374 0.7626 0.7626 1
Ac2 0.2500 0.2500 0.2500 1
Ac3 0.7500 0.7500 0.7500 1
Ac4 0.7626 0.2374 0.2374 1
Tl1 0.3340 0.3340 0.6660 1
Tl2 0.6660 0.6660 0.3340 1
Pt1 0.1601 0.1601 0.8399 1
Pt2 0.1629 0.6683 0.3317 1
Pt3 0.3317 0.8371 0.1629 1
Pt4 0.6683 0.1629 0.8371 1
Pt5 0.8371 0.3317 0.6683 1
Pt6 0.8399 0.8399 0.1601 1
```

The 12 most intense peaks (5 to 70 degrees two-theta), by intensity:
2θ/deg, I (rel.)
30.68, 100.0
38.78, 60.7
31.31, 54.5
37.21, 34.2
60.10, 33.9
49.40, 31.4
44.03, 21.2
58.97, 18.1
65.93, 15.0
63.07, 13.3
68.13, 11.9
21.60, 11.4